Record 1
This entry pairs a crystal structure of SrHfO3 with its theoretical PXRD pattern. Radiation: λ = 1.5418 Å (Cu Kα). Structure: DFT lattice parameters and positions (PBE).
Lines closer than 0.1° are merged.

Structure:
Cell lengths 5.787, 5.787, 4.169 Å; angles 90.00, 90.00, 90.00 degrees
Atoms (fractional coordinates):
Sr 0.000 0.500 0.000
Sr 0.500 0.000 0.000
Hf 0.000 0.000 0.500
Hf 0.500 0.500 0.500
O 0.000 0.000 0.000
O 0.200 0.300 0.500
O 0.300 0.800 0.500
O 0.500 0.500 0.000
O 0.700 0.200 0.500
O 0.800 0.700 0.500

Top 12 peaks for 10 to 90 degrees two-theta, in order of rising 2θ:
21.31°, I = 11.3; 21.72°, I = 20.3; 30.62°, I = 100.0; 30.91°, I = 52.8; 43.42°, I = 15.7; 44.27°, I = 27.6; 54.24°, I = 22.1; 54.79°, I = 43.4; 63.74°, I = 18.0; 88.31°, I = 11.9; 89.06°, I = 12.7; 89.50°, I = 10.6



Record 2
This entry pairs a crystal structure of BaAcCuIr with its theoretical PXRD pattern. Radiation: λ = 1.5418 Å (Cu Kα). Structure: DFT lattice parameters and positions (PBE).
Lines closer than 0.1° are merged.

Structure:
Cell lengths 5.339, 5.339, 5.339 Å; angles 60.00, 60.00, 60.00 degrees
Atoms (fractional coordinates):
Ba 0.000 0.000 0.000
Ac 0.500 0.500 0.500
Cu 0.250 0.250 0.250
Ir 0.750 0.750 0.750

Top 12 peaks for 10 to 90 degrees two-theta, in order of rising 2θ:
20.37°, I = 13.2; 23.57°, I = 2.8; 33.57°, I = 100.0; 39.59°, I = 7.7; 48.21°, I = 18.2; 52.85°, I = 3.5; 54.34°, I = 1.3; 60.03°, I = 37.9; 64.08°, I = 2.7; 70.56°, I = 11.7; 74.32°, I = 2.7; 80.44°, I = 16.5



Record 3
This entry pairs a crystal structure of LaZr4Zn5 with its theoretical PXRD pattern. Radiation: λ = 1.5418 Å (Cu Kα). Structure: DFT lattice parameters and positions (PBE).
Lines closer than 0.1° are merged.

Structure:
Cell lengths 3.405, 3.405, 17.255 Å; angles 90.00, 90.00, 90.00 degrees
Atoms (fractional coordinates):
La 0.000 0.000 0.000
Zr 0.000 0.000 0.215
Zr 0.000 0.000 0.405
Zr 0.000 0.000 0.595
Zr 0.000 0.000 0.785
Zn 0.500 0.500 0.127
Zn 0.500 0.500 0.311
Zn 0.500 0.500 0.500
Zn 0.500 0.500 0.689
Zn 0.500 0.500 0.873

Top 12 peaks for 10 to 90 degrees two-theta, in order of rising 2θ:
26.17°, I = 4.8; 33.53°, I = 7.4; 37.09°, I = 100.0; 37.35°, I = 59.4; 41.08°, I = 7.8; 53.08°, I = 4.8; 53.85°, I = 20.0; 66.69°, I = 10.1; 67.19°, I = 33.0; 71.83°, I = 4.8; 79.01°, I = 5.7; 79.64°, I = 6.1